# 1
Structure and calculated powder diffractogram of Rb2AgO2 (a structure optimized by DFT (GGA-PBE); Cu Kα).
No peak broadening, texture or thermal motion is included.

Structure:
a = 5.6238 Å, b = 7.2371 Å, c = 10.7840 Å
α = 90.00°, β = 90.00°, γ = 90.00°
Positions (direct):
1 Rb 0.0145 0.0514 0.3103
2 Rb 0.0269 0.6331 0.8744
3 Rb 0.4731 0.3669 0.3744
4 Rb 0.4855 0.9486 0.8103
5 Rb 0.5145 0.4486 0.6897
6 Rb 0.5269 0.8669 0.1256
7 Rb 0.9731 0.1331 0.6256
8 Rb 0.9855 0.5514 0.1897
9 Ag 0.0363 0.1529 0.0016
10 Ag 0.4637 0.8471 0.5016
11 Ag 0.5363 0.3471 0.9984
12 Ag 0.9637 0.6529 0.4984
13 O 0.0382 0.8826 0.0751
14 O 0.2008 0.7488 0.6324
15 O 0.2992 0.2512 0.1324
16 O 0.4618 0.1174 0.5751
17 O 0.5382 0.6174 0.9249
18 O 0.7008 0.7512 0.3676
19 O 0.7992 0.2488 0.8676
20 O 0.9618 0.3826 0.4249

Largest 10 diffraction maxima, in order of rising 2θ, 10 to 90 degrees two-theta:
2θ/deg	d_spacing	I (rel.)
27.7	3.219	49
29.4	3.043	97
30.5	2.929	22
31.8	2.812	57
32.0	2.794	100
42.7	2.118	35
48.2	1.888	19
55.2	1.665	24
56.8	1.620	15
59.8	1.547	30

# 2
Structure and calculated powder diffractogram of Nd5Ni19 (a structure optimized by DFT (GGA-PBE); Cu Kα).
No peak broadening, texture or thermal motion is included.

Structure:
a = 16.4300 Å, b = 16.4300 Å, c = 16.4300 Å
α = 17.45°, β = 17.45°, γ = 17.45°
Positions (direct):
1 Nd 0.0000 0.0000 0.0000
2 Nd 0.0783 0.0783 0.0783
3 Nd 0.1516 0.1516 0.1516
4 Nd 0.8484 0.8484 0.8484
5 Nd 0.9217 0.9217 0.9217
6 Ni 0.0394 0.5413 0.5413
7 Ni 0.1231 0.6225 0.6225
8 Ni 0.2513 0.2513 0.2513
9 Ni 0.3332 0.3332 0.3332
10 Ni 0.3775 0.3775 0.8769
11 Ni 0.3775 0.8769 0.3775
12 Ni 0.4151 0.4151 0.4151
13 Ni 0.4587 0.4587 0.9606
14 Ni 0.4587 0.9606 0.4587
15 Ni 0.5000 0.5000 0.5000
16 Ni 0.5413 0.0394 0.5413
17 Ni 0.5413 0.5413 0.0394
18 Ni 0.5849 0.5849 0.5849
19 Ni 0.6225 0.1231 0.6225
20 Ni 0.6225 0.6225 0.1231
21 Ni 0.6668 0.6668 0.6668
22 Ni 0.7487 0.7487 0.7487
23 Ni 0.8769 0.3775 0.3775
24 Ni 0.9606 0.4587 0.4587

Largest 10 diffraction maxima, in order of rising 2θ, 10 to 90 degrees two-theta:
2θ/deg	d_spacing	I (rel.)
31.7	2.824	35
33.1	2.703	27
36.0	2.492	42
41.9	2.156	32
42.6	2.122	100
44.8	2.022	17
46.0	1.974	11
62.1	1.495	10
69.3	1.356	23
76.4	1.246	20

# 3
Structure and calculated powder diffractogram of Dy4Cu3Pt (a structure optimized by DFT (GGA-PBE); Cu Kα).
No peak broadening, texture or thermal motion is included.

Structure:
a = 5.4521 Å, b = 4.4548 Å, c = 7.1043 Å
α = 90.00°, β = 90.02°, γ = 90.00°
Positions (direct):
1 Dy 0.0000 0.0000 0.0000
2 Dy 0.2271 0.0000 0.5091
3 Dy 0.4928 0.5000 0.1393
4 Dy 0.7275 0.5000 0.6411
5 Cu 0.5023 0.0000 0.8625
6 Cu 0.7381 0.0000 0.3542
7 Cu 0.9827 0.5000 0.2874
8 Pt 0.2239 0.5000 0.7847

Largest 10 diffraction maxima, in order of rising 2θ, 10 to 90 degrees two-theta:
2θ/deg	d_spacing	I (rel.)
28.8	3.103	64
32.2	2.777	89
35.3	2.545	73
36.3	2.475	100
40.5	2.227	58
40.8	2.210	88
41.6	2.172	38
54.3	1.689	23
54.8	1.676	41
59.4	1.555	27

# 4
Structure and calculated powder diffractogram of Ta3InGe5 (a structure optimized by DFT (GGA-PBE); Cu Kα).
No peak broadening, texture or thermal motion is included.

Structure:
a = 5.6916 Å, b = 5.6916 Å, c = 6.6675 Å
α = 90.00°, β = 90.00°, γ = 120.00°
Positions (direct):
1 Ta 0.0000 0.5000 0.0000
2 Ta 0.5000 0.0000 0.0000
3 Ta 0.5000 0.5000 0.0000
4 In 0.0000 0.0000 0.5000
5 Ge 0.0000 0.0000 0.0000
6 Ge 0.3333 0.6667 0.3164
7 Ge 0.3333 0.6667 0.6836
8 Ge 0.6667 0.3333 0.3164
9 Ge 0.6667 0.3333 0.6836

Largest 10 diffraction maxima, in order of rising 2θ, 10 to 90 degrees two-theta:
2θ/deg	d_spacing	I (rel.)
13.3	6.667	71
22.4	3.964	24
26.7	3.334	28
34.3	2.617	38
36.5	2.465	46
39.0	2.312	71
40.6	2.222	21
45.8	1.982	100
65.6	1.423	26
67.9	1.381	25

# 5
Structure and calculated powder diffractogram of Dy12TlNi6 (a structure optimized by DFT (GGA-PBE); Cu Kα).
No peak broadening, texture or thermal motion is included.

Structure:
a = 8.3880 Å, b = 8.3880 Å, c = 8.3880 Å
α = 109.47°, β = 109.47°, γ = 109.47°
Positions (direct):
1 Dy 0.1161 0.3035 0.8126
2 Dy 0.1874 0.4909 0.3035
3 Dy 0.1874 0.8839 0.6965
4 Dy 0.3035 0.1874 0.4909
5 Dy 0.3035 0.8126 0.1161
6 Dy 0.4909 0.3035 0.1874
7 Dy 0.5091 0.6965 0.8126
8 Dy 0.6965 0.1874 0.8839
9 Dy 0.6965 0.8126 0.5091
10 Dy 0.8126 0.1161 0.3035
11 Dy 0.8126 0.5091 0.6965
12 Dy 0.8839 0.6965 0.1874
13 Tl 0.0000 0.0000 0.0000
14 Ni 0.1232 0.5000 0.6232
15 Ni 0.3768 0.8768 0.5000
16 Ni 0.5000 0.3768 0.8768
17 Ni 0.5000 0.6232 0.1232
18 Ni 0.6232 0.1232 0.5000
19 Ni 0.8768 0.5000 0.3768

Largest 10 diffraction maxima, in order of rising 2θ, 10 to 90 degrees two-theta:
2θ/deg	d_spacing	I (rel.)
29.2	3.063	43
32.0	2.796	42
34.7	2.589	100
37.1	2.421	16
47.9	1.900	21
55.3	1.661	33
58.8	1.571	36
68.5	1.370	19
85.0	1.141	16
86.4	1.126	16

# 6
Structure and calculated powder diffractogram of ZnSb2O4 (a structure optimized by DFT (GGA-PBE); Cu Kα).
No peak broadening, texture or thermal motion is included.

Structure:
a = 8.4504 Å, b = 8.4504 Å, c = 5.9834 Å
α = 90.00°, β = 90.00°, γ = 90.00°
Positions (direct):
1 Zn 0.0000 0.5000 0.2500
2 Zn 0.0000 0.5000 0.7500
3 Zn 0.5000 0.0000 0.2500
4 Zn 0.5000 0.0000 0.7500
5 Sb 0.1621 0.1740 0.0000
6 Sb 0.1740 0.8379 0.5000
7 Sb 0.3260 0.3379 0.5000
8 Sb 0.3379 0.6740 0.0000
9 Sb 0.6621 0.3260 0.0000
10 Sb 0.6740 0.6621 0.5000
11 Sb 0.8260 0.1621 0.5000
12 Sb 0.8379 0.8260 0.0000
13 O 0.0929 0.3535 0.5000
14 O 0.1465 0.4071 0.0000
15 O 0.1785 0.6785 0.2500
16 O 0.1785 0.6785 0.7500
17 O 0.3215 0.1785 0.2500
18 O 0.3215 0.1785 0.7500
19 O 0.3535 0.9071 0.0000
20 O 0.4071 0.8535 0.5000
21 O 0.5929 0.1465 0.5000
22 O 0.6465 0.0929 0.0000
23 O 0.6785 0.8215 0.2500
24 O 0.6785 0.8215 0.7500
25 O 0.8215 0.3215 0.2500
26 O 0.8215 0.3215 0.7500
27 O 0.8535 0.5929 0.0000
28 O 0.9071 0.6465 0.5000

Largest 10 diffraction maxima, in order of rising 2θ, 10 to 90 degrees two-theta:
2θ/deg	d_spacing	I (rel.)
27.9	3.195	100
29.9	2.989	24
33.5	2.673	40
36.8	2.442	24
46.9	1.939	30
51.8	1.764	18
53.1	1.726	10
55.4	1.658	25
64.3	1.450	12
65.3	1.429	11